Starting from a PBE-relaxed structure, the powder XRD pattern of Y2Ho2Hg was calculated for λ = 1.5418 Å (Cu Kα).
Neutral-atom scattering factors, no anomalous dispersion.

Structure:
a = 12.9639 Å, b = 12.9639 Å, c = 12.9639 Å
α = 157.56°, β = 157.56°, γ = 31.94°
Positions (direct):
Y  0.0533  0.3033  0.7500
Y  0.3033  0.0533  0.2500
Y  0.6967  0.9467  0.7500
Y  0.9467  0.6967  0.2500
Ho  0.2012  0.4512  0.7500
Ho  0.4512  0.2012  0.2500
Ho  0.5488  0.7988  0.7500
Ho  0.7988  0.5488  0.2500
Hg  0.3750  0.6250  0.7500
Hg  0.6250  0.3750  0.2500

Most intense lines, 10 to 90 degrees two-theta, low angle first:
17.94°, intensity 34.5; 25.11°, intensity 16.9; 33.10°, intensity 100.0; 35.59°, intensity 44.7; 40.13°, intensity 9.6; 51.22°, intensity 15.9; 57.47°, intensity 16.0; 62.35°, intensity 32.3